Entry 1:
Tm6Au2C: theoretical XRD peak list (Cu Kα), based on the PBE geometry in Alexandria.
Lines closer than 0.1° are merged.

Principal peaks in the range 2θ = 10–80°, in order of falling intensity:
32.10 deg, intensity 100.0, hkl 0 2 2; 37.64 deg, intensity 44.3, hkl 2 2 -2; 31.46 deg, intensity 40.3, hkl 1 0 -4; 32.75 deg, intensity 36.8, hkl 2 0 0; 33.12 deg, intensity 35.5, hkl 2 0 -4; 37.91 deg, intensity 24.9, hkl 0 0 4; 31.17 deg, intensity 21.1, hkl 1 0 2; 42.73 deg, intensity 21.0, hkl 1 3 0; 30.72 deg, intensity 20.4, hkl 1 2 -2; 31.27 deg, intensity 18.3, hkl 2 1 -1

Crystal structure
a b c (Å): 6.6377 6.8897 11.5199
angles (deg): 90.00 124.51 90.00
Space group P2_1/c (No. 14)
Inequivalent atoms, fractional coordinates:
Tm  0.1449  0.0197  0.2432 x4
Tm  0.2488  0.7151  0.0508 x4
Tm  0.3387  0.2013  0.0505 x4
Au  0.2745  0.0620  0.7507 x4
C  0.0000  0.0000  0.0000 x2

***

Entry 2:
GdBiPt2: theoretical XRD peak list (Cu Kα), based on the PBE geometry in Alexandria.
Lines closer than 0.1° are merged.

Principal peaks in the range 2θ = 10–80°, in order of falling intensity:
35.68 deg, intensity 100.0, hkl 1 1 1; 37.55 deg, intensity 43.6, hkl 2 0 0; 66.55 deg, intensity 33.4, hkl 3 1 1; 62.86 deg, intensity 19.8, hkl 2 0 2; 54.15 deg, intensity 15.4, hkl 2 2 0; 75.58 deg, intensity 11.7, hkl 2 2 2; 48.44 deg, intensity 10.7, hkl 0 0 2; 18.52 deg, intensity 1.1, hkl 1 0 0; 30.23 deg, intensity 0.7, hkl 1 0 1

Crystal structure
a b c (Å): 4.7908 4.7908 3.7581
angles (deg): 90.00 90.00 90.00
Space group P4/mmm (No. 123)
Inequivalent atoms, fractional coordinates:
Gd  0.0000  0.0000  0.0000 x1
Bi  0.5000  0.5000  0.0000 x1
Pt  0.0000  0.5000  0.5000 x2

***

Entry 3:
Tb5NdHo5: theoretical XRD peak list (Cu Kα), based on the PBE geometry in Alexandria.
Lines closer than 0.1° are merged.

Principal peaks in the range 2θ = 10–80°, in order of falling intensity:
28.68 deg, intensity 100.0, hkl 1 0 3; 29.46 deg, intensity 85.2, hkl 1 1 0; 51.77 deg, intensity 38.7, hkl 2 1 3; 35.04 deg, intensity 36.4, hkl 2 0 1; 35.37 deg, intensity 34.4, hkl 1 0 4; 30.47 deg, intensity 28.2, hkl 1 1 1; 61.12 deg, intensity 27.5, hkl 2 2 0; 37.60 deg, intensity 25.7, hkl 2 0 2; 33.35 deg, intensity 24.9, hkl 1 1 2; 37.71 deg, intensity 22.9, hkl 1 1 3

Crystal structure
a b c (Å): 6.0647 6.0647 11.5944
angles (deg): 90.00 90.00 120.00
Space group P-6m2 (No. 187)
Inequivalent atoms, fractional coordinates:
Tb  0.0000  0.0000  0.0000 x1
Tb  0.3333  0.6667  0.3240 x2
Tb  0.6667  0.3333  0.1572 x2
Nd  0.3333  0.6667  0.0000 x1
Ho  0.0000  0.0000  0.2653 x2
Ho  0.3345  0.1673  0.5000 x3

***

Entry 4:
NaZnCd: theoretical XRD peak list (Cu Kα), based on the PBE geometry in Alexandria.
Lines closer than 0.1° are merged.

Principal peaks in the range 2θ = 10–80°, in order of falling intensity:
19.28 deg, intensity 100.0, hkl 1 0 1; 35.88 deg, intensity 77.7, hkl 1 2 1; 37.76 deg, intensity 65.9, hkl 0 2 2; 39.13 deg, intensity 60.8, hkl 2 0 2; 18.62 deg, intensity 34.0, hkl 0 1 1; 37.58 deg, intensity 33.3, hkl 1 0 3; 44.12 deg, intensity 32.0, hkl 2 2 0; 36.95 deg, intensity 32.0, hkl 2 1 1; 65.49 deg, intensity 31.0, hkl 2 2 4; 48.79 deg, intensity 17.5, hkl 1 2 3

Crystal structure
a b c (Å): 5.6584 5.9642 7.9228
angles (deg): 90.00 90.00 90.00
Space group Imma (No. 74)
Inequivalent atoms, fractional coordinates:
Na  0.0000  0.2500  0.1218 x4
Zn  0.2500  0.2500  0.7500 x4
Cd  0.0000  0.0000  0.5000 x4

***

Entry 5:
KPdBr6: theoretical XRD peak list (Cu Kα), based on the PBE geometry in Alexandria.
Lines closer than 0.1° are merged.

Principal peaks in the range 2θ = 10–80°, in order of falling intensity:
27.07 deg, intensity 100.0, hkl 0 1 -2; 34.26 deg, intensity 96.0, hkl 1 1 1; 13.89 deg, intensity 71.9, hkl 0 0 1; 31.15 deg, intensity 70.2, hkl -1 1 2; 28.87 deg, intensity 68.9, hkl 1 -2 0; 15.65 deg, intensity 60.7, hkl 1 0 -1; 41.44 deg, intensity 48.4, hkl 2 1 -3; 51.88 deg, intensity 46.1, hkl 1 0 -4; 36.45 deg, intensity 42.7, hkl 2 -2 0; 17.99 deg, intensity 41.3, hkl 1 -1 0

Crystal structure
a b c (Å): 6.3655 6.5103 7.3407
angles (deg): 102.14 113.45 101.46
Space group P-1 (No. 2)
Inequivalent atoms, fractional coordinates:
K  0.0000  0.0000  0.0000 x1
Pd  0.0000  0.5000  0.5000 x1
Br  0.2048  0.2129  0.5524 x2
Br  0.2073  0.6029  0.2887 x2
Br  0.3525  0.7705  0.8402 x2

***

Entry 6:
TaSnMo: theoretical XRD peak list (Cu Kα), based on the PBE geometry in Alexandria.
Lines closer than 0.1° are merged.

Principal peaks in the range 2θ = 10–80°, in order of falling intensity:
37.97 deg, intensity 100.0, hkl 1 0 1; 38.65 deg, intensity 92.0, hkl 1 1 0; 69.50 deg, intensity 34.6, hkl 2 1 1; 55.30 deg, intensity 33.9, hkl 0 2 1; 69.95 deg, intensity 16.3, hkl 3 0 0; 68.13 deg, intensity 16.0, hkl 0 1 2; 22.03 deg, intensity 12.0, hkl 1 0 0; 76.91 deg, intensity 4.1, hkl 1 1 2; 50.03 deg, intensity 2.6, hkl 1 1 1; 44.93 deg, intensity 2.0, hkl 2 0 0

Crystal structure
a b c (Å): 4.6589 4.6589 2.9282
angles (deg): 90.00 90.00 120.00
Space group P3m1 (No. 156)
Inequivalent atoms, fractional coordinates:
Ta  0.0000  0.0000  0.0000 x1
Sn  0.6667  0.3333  0.4046 x1
Mo  0.3333  0.6667  0.7258 x1

***

Entry 7:
CaAc2Pm: theoretical XRD peak list (Cu Kα), based on the PBE geometry in Alexandria.
Lines closer than 0.1° are merged.

Principal peaks in the range 2θ = 10–80°, in order of falling intensity:
28.11 deg, intensity 100.0, hkl 1 0 2; 32.47 deg, intensity 35.2, hkl 1 1 0; 55.29 deg, intensity 30.9, hkl 2 1 2; 46.81 deg, intensity 23.7, hkl 1 1 4; 32.78 deg, intensity 15.8, hkl 0 0 4; 16.22 deg, intensity 13.2, hkl 0 0 2; 46.58 deg, intensity 13.1, hkl 2 0 0; 22.80 deg, intensity 13.0, hkl 1 0 0; 55.69 deg, intensity 12.7, hkl 1 0 6; 58.12 deg, intensity 12.5, hkl 2 0 4

Crystal structure
a b c (Å): 3.8996 3.8996 10.9294
angles (deg): 90.00 90.00 90.00
Space group P4/mmm (No. 123)
Inequivalent atoms, fractional coordinates:
Ca  0.0000  0.0000  0.0000 x1
Ac  0.5000  0.5000  0.2637 x2
Pm  0.0000  0.0000  0.5000 x1

***

Entry 8:
CdSn4Au3: theoretical XRD peak list (Cu Kα), based on the PBE geometry in Alexandria.
Lines closer than 0.1° are merged.

Principal peaks in the range 2θ = 10–80°, in order of falling intensity:
36.47 deg, intensity 100.0, hkl 1 1 2; 38.42 deg, intensity 44.4, hkl 1 1 -3; 21.33 deg, intensity 38.6, hkl 0 1 1; 37.49 deg, intensity 36.6, hkl 0 2 0; 68.24 deg, intensity 29.3, hkl 3 1 -4; 24.94 deg, intensity 28.7, hkl 1 0 -2; 41.95 deg, intensity 19.9, hkl 2 1 0; 53.32 deg, intensity 17.1, hkl 2 2 -1; 66.97 deg, intensity 13.2, hkl 1 3 2; 45.55 deg, intensity 12.4, hkl 1 2 -2

Crystal structure
a b c (Å): 4.9371 4.7980 8.5966
angles (deg): 90.00 102.50 90.00
Space group P2/m (No. 10)
Inequivalent atoms, fractional coordinates:
Cd  0.0000  0.0000  0.0000 x1
Sn  0.1163  0.5000  0.7151 x2
Sn  0.4326  0.0000  0.3095 x2
Au  0.0000  0.0000  0.5000 x1
Au  0.3123  0.5000  0.1049 x2

***

Entry 9:
Sm3Y4Er5: theoretical XRD peak list (Cu Kα), based on the PBE geometry in Alexandria.
Lines closer than 0.1° are merged.

Principal peaks in the range 2θ = 10–80°, in order of falling intensity:
30.79 deg, intensity 100.0, hkl 2 0 0; 35.58 deg, intensity 45.3, hkl 1 2 1; 30.76 deg, intensity 33.8, hkl 0 0 3; 51.43 deg, intensity 23.6, hkl 1 2 -5; 35.91 deg, intensity 22.0, hkl 2 0 -3; 60.89 deg, intensity 18.9, hkl 3 -2 2; 60.98 deg, intensity 18.8, hkl 3 2 1; 61.37 deg, intensity 18.4, hkl 4 0 -3; 64.13 deg, intensity 12.1, hkl 4 0 0; 51.23 deg, intensity 8.1, hkl 0 4 -1

Crystal structure
a b c (Å): 6.1434 7.1329 9.3939
angles (deg): 101.00 108.59 90.07
Space group P-1 (No. 2)
Inequivalent atoms, fractional coordinates:
Sm  0.0000  0.0000  0.0000 x1
Sm  0.4989  0.5822  0.3315 x2
Y  0.0000  0.1677  0.6668 x2
Y  0.4992  0.0840  0.3320 x2
Er  0.0002  0.3343  0.3328 x2
Er  0.0000  0.5000  0.0000 x1
Er  0.4978  0.7493  0.9991 x2

***

Entry 10:
Sr2Cd9Rh3: theoretical XRD peak list (Cu Kα), based on the PBE geometry in Alexandria.
Lines closer than 0.1° are merged.

Principal peaks in the range 2θ = 10–80°, in order of falling intensity:
37.75 deg, intensity 100.0, hkl 3 3 -1; 36.43 deg, intensity 56.1, hkl 6 0 -2; 33.82 deg, intensity 53.9, hkl 0 2 3; 33.60 deg, intensity 50.2, hkl 3 1 2; 33.09 deg, intensity 44.0, hkl 3 1 -4; 34.32 deg, intensity 33.7, hkl 0 0 4; 40.10 deg, intensity 25.6, hkl 6 0 -4; 16.97 deg, intensity 21.9, hkl 0 0 2; 41.52 deg, intensity 18.7, hkl 3 3 -3; 41.80 deg, intensity 16.9, hkl 3 3 1

Crystal structure
a b c (Å): 14.8040 8.1644 11.6367
angles (deg): 90.00 116.10 90.00
Space group C2/c (No. 15)
Inequivalent atoms, fractional coordinates:
Sr  0.1756  0.0705  0.2438 x8
Cd  0.0000  0.3257  0.2500 x4
Cd  0.0598  0.0832  0.9245 x8
Cd  0.0950  0.4127  0.0408 x8
Cd  0.1073  0.3197  0.7488 x8
Cd  0.2231  0.4127  0.4379 x8
Rh  0.0887  0.2369  0.5080 x8
Rh  0.2500  0.2500  0.0000 x4

***

Entry 11:
KBeSi2: theoretical XRD peak list (Cu Kα), based on the PBE geometry in Alexandria.
Lines closer than 0.1° are merged.

Principal peaks in the range 2θ = 10–80°, in order of falling intensity:
27.42 deg, intensity 100.0, hkl 0 1 1; 37.52 deg, intensity 70.5, hkl 1 1 1; 36.58 deg, intensity 53.2, hkl 1 0 2; 28.37 deg, intensity 39.9, hkl 1 0 1; 53.97 deg, intensity 35.4, hkl 1 1 3; 26.16 deg, intensity 25.7, hkl 0 0 2; 62.85 deg, intensity 19.6, hkl 1 2 2; 59.36 deg, intensity 19.1, hkl 2 1 1; 44.25 deg, intensity 17.5, hkl 1 1 2; 49.21 deg, intensity 16.5, hkl 0 2 0

Crystal structure
a b c (Å): 3.5461 3.7028 6.8123
angles (deg): 90.00 90.00 90.00
Space group Pmm2 (No. 25)
Inequivalent atoms, fractional coordinates:
K  0.0000  0.0000  0.0000 x1
Be  0.5000  0.0000  0.5081 x1
Si  0.0000  0.5000  0.5642 x1
Si  0.5000  0.5000  0.3260 x1

***

Entry 12:
PmNd2Ir2: theoretical XRD peak list (Cu Kα), based on the PBE geometry in Alexandria.
Lines closer than 0.1° are merged.

Principal peaks in the range 2θ = 10–80°, in order of falling intensity:
35.94 deg, intensity 100.0, hkl 1 3 2; 33.80 deg, intensity 56.2, hkl 1 5 0; 44.30 deg, intensity 49.6, hkl 2 0 0; 23.66 deg, intensity 38.3, hkl 0 0 2; 32.78 deg, intensity 36.5, hkl 1 1 2; 25.32 deg, intensity 33.1, hkl 1 1 1; 33.08 deg, intensity 29.3, hkl 0 6 1; 41.62 deg, intensity 24.2, hkl 0 4 3; 48.31 deg, intensity 18.2, hkl 0 8 2; 37.35 deg, intensity 17.5, hkl 0 2 3

Crystal structure
a b c (Å): 4.0883 17.4208 7.5150
angles (deg): 90.00 90.00 90.00
Space group Cmc2_1 (No. 36)
Inequivalent atoms, fractional coordinates:
Pm  0.0000  0.1198  0.0000 x4
Nd  0.0000  0.3101  0.8892 x4
Nd  0.0000  0.4680  0.1658 x4
Ir  0.0000  0.0521  0.3647 x4
Ir  0.0000  0.3073  0.2973 x4